1.
Computed powder XRD pattern
Compound: PuPbO3
Radiation: Cu Ka
Structure: a structure optimized by DFT (GGA-PBE)

Top 7 peaks for 2θ from 5° to 70°, most intense first:
2theta	d_spacing	Rel. int.	(hkl)
28.98	3.082	100	1 1 0
51.36	1.779	43	2 1 1
41.44	2.179	26	2 0 0
68.03	1.378	19	3 1 0
60.04	1.541	17	2 2 0
20.38	4.358	2	1 0 0
46.60	1.949	1	2 1 0

Structural model:
```
data_PuPbO3
_space_group_name_H-M_alt 'P m -3 m'
_space_group_IT_number 221
_space_group_name_Hall '-P 4 2 3'
_cell_length_a 4.358
_cell_length_b 4.358
_cell_length_c 4.358
_cell_angle_alpha 90.00
_cell_angle_beta 90.00
_cell_angle_gamma 90.00
loop_
_atom_site_label
_atom_site_fract_x
_atom_site_fract_y
_atom_site_fract_z
Pu1 0.000 0.000 0.000
Pb1 0.500 0.500 0.500
O1 0.000 0.000 0.500
```



2.
Computed powder XRD pattern
Compound: Li2H6Pt
Radiation: Cu Ka
Structure: a structure optimized by DFT (GGA-PBE)

Top 9 peaks for 2θ from 5° to 70°, most intense first:
2theta	d_spacing	Rel. int.	(hkl)
22.81	3.898	100	1 1 1
44.51	2.036	52	3 1 1
26.40	3.376	49	2 0 0
37.68	2.387	45	2 2 0
59.70	1.549	22	3 3 1
61.41	1.510	19	4 2 0
68.03	1.378	16	4 2 2
46.60	1.949	13	2 2 2
54.35	1.688	9	4 0 0

Structural model:
```
data_Li2H6Pt
_space_group_name_H-M_alt 'F m -3 m'
_space_group_IT_number 225
_space_group_name_Hall '-F 4 2 3'
_cell_length_a 6.752
_cell_length_b 6.752
_cell_length_c 6.752
_cell_angle_alpha 90.00
_cell_angle_beta 90.00
_cell_angle_gamma 90.00
loop_
_atom_site_label
_atom_site_fract_x
_atom_site_fract_y
_atom_site_fract_z
Li1 0.250 0.250 0.250
H1 0.000 0.000 0.244
Pt1 0.000 0.000 0.000
```



Question: What is the formula in the first record?
Answer: PuPbO3